Structure and theoretical XRD peak list of Ta3AlB8 (the PBE geometry in the Materials Project; copper Kα).
Kinematic intensities with the Lorentz-polarization factor, no thermal factor.

Peak list (6 most intense, 10° ≤ 2θ ≤ 90°, low angle first)
two_theta	intensity
26.32	42.9
33.81	79.8
43.35	100.0
60.49	20.4
65.41	24.0
67.11	20.6

```
12
Lattice="3.061 0.000 0.000 -1.531 2.651 0.000 0.000 0.000 13.544" Properties=species:S:1:pos:R:3 pbc="T T T"
Ta 0.000 0.000 0.000
Ta 0.000 0.000 3.329
Ta 0.000 0.000 10.215
Al 0.000 0.000 6.772
B 0.000 1.767 1.686
B 0.000 1.767 5.135
B 0.000 1.767 8.409
B 0.000 1.767 11.858
B 1.531 0.884 1.686
B 1.531 0.884 5.135
B 1.531 0.884 8.409
B 1.531 0.884 11.858
```

***

Structure and theoretical XRD peak list of Na5Ni9As7 (the PBE geometry in the Materials Project; copper Kα).
Kinematic intensities with the Lorentz-polarization factor, no thermal factor.

Peak list (6 most intense, 10° ≤ 2θ ≤ 90°, low angle first)
two_theta	intensity
18.33	34.8
36.23	100.0
45.16	70.9
45.57	44.1
49.12	43.1
49.84	36.1

```
21
Lattice="9.681 0.000 0.000 -4.841 8.384 0.000 0.000 0.000 3.981" Properties=species:S:1:pos:R:3 pbc="T T T"
Na 0.000 0.000 0.000
Na -1.638 6.481 0.000
Na 0.047 3.725 0.000
Na 1.591 6.563 0.000
Na 4.841 2.795 1.991
Ni -2.070 4.155 1.991
Ni 1.647 2.032 1.991
Ni 3.218 0.882 0.000
Ni -0.207 8.099 1.991
Ni 2.277 4.514 1.991
Ni 3.996 5.156 0.000
Ni 7.098 0.411 1.991
Ni 7.308 2.346 0.000
Ni 5.776 5.942 1.991
As -0.947 2.059 1.991
As -2.584 8.175 1.991
As 0.000 5.589 1.991
As 2.666 3.157 0.000
As 5.614 0.730 0.000
As 3.531 6.534 1.991
As 6.242 4.497 0.000
```

***

Structure and theoretical XRD peak list of Pr2Co17 (the PBE geometry in the Materials Project; copper Kα).
Kinematic intensities with the Lorentz-polarization factor, no thermal factor.

Peak list (6 most intense, 10° ≤ 2θ ≤ 90°, low angle first)
two_theta	intensity
30.52	37.8
37.05	38.6
38.41	30.8
43.05	68.1
43.38	100.0
44.35	34.3

```
19
Lattice="4.202 2.426 4.085 -4.202 2.426 4.085 0.000 -4.852 4.085" Properties=species:S:1:pos:R:3 pbc="T T T"
Pr 0.000 0.000 1.924
Pr 0.000 0.000 10.330
Co -2.101 -1.213 4.085
Co 0.000 -2.392 3.955
Co -2.072 1.196 3.955
Co -1.197 -2.073 6.127
Co -2.393 0.000 6.127
Co -2.072 -1.196 8.299
Co 0.000 0.000 4.959
Co -2.101 1.213 8.170
Co 1.197 -2.073 6.127
Co 0.000 2.426 4.085
Co -1.197 2.073 6.127
Co 0.000 0.000 7.295
Co 2.072 1.196 3.955
Co 2.393 0.000 6.127
Co 1.197 2.073 6.127
Co 2.072 -1.196 8.299
Co 0.000 2.392 8.299
```

***

Structure and theoretical XRD peak list of Tm2Cr2C3 (the PBE geometry in the Materials Project; copper Kα).
Kinematic intensities with the Lorentz-polarization factor, no thermal factor.

Peak list (6 most intense, 10° ≤ 2θ ≤ 90°, low angle first)
two_theta	intensity
27.81	42.4
28.40	39.4
33.57	46.8
34.48	100.0
35.88	37.7
38.70	89.6

```
7
Lattice="5.220 -1.655 0.000 5.220 1.655 0.000 -1.561 0.000 5.284" Properties=species:S:1:pos:R:3 pbc="T T T"
Tm 0.638 0.000 1.672
Tm 8.241 0.000 3.612
Cr 3.425 0.000 0.599
Cr 5.454 0.000 4.685
C 1.095 0.000 4.040
C 5.220 0.000 0.000
C 7.783 0.000 1.244
```

***

Structure and theoretical XRD peak list of Nb5Ga13 (the PBE geometry in the Materials Project; copper Kα).
Kinematic intensities with the Lorentz-polarization factor, no thermal factor.

Peak list (6 most intense, 10° ≤ 2θ ≤ 90°, low angle first)
two_theta	intensity
38.98	100.0
39.77	21.0
47.80	14.1
48.00	13.9
71.66	11.7
83.36	10.4

```
18
Lattice="1.903 -20.401 0.000 1.903 20.401 0.000 0.000 0.000 3.791" Properties=species:S:1:pos:R:3 pbc="T T T"
Nb 0.000 0.000 0.000
Nb 1.903 11.584 0.000
Nb 1.903 4.406 1.895
Nb 1.903 -4.406 1.895
Nb 1.903 -11.584 0.000
Ga 1.903 18.163 1.895
Ga 1.903 15.836 0.000
Ga 1.903 13.695 1.895
Ga 1.903 9.310 1.895
Ga 1.903 6.731 0.000
Ga 1.903 2.228 0.000
Ga 1.903 0.000 1.895
Ga 1.903 -2.228 0.000
Ga 1.903 -6.731 0.000
Ga 1.903 -9.310 1.895
Ga 1.903 -13.695 1.895
Ga 1.903 -15.836 0.000
Ga 1.903 -18.163 1.895
```

***

Structure and theoretical XRD peak list of Rb4SnS4O4 (the PBE geometry in the Materials Project; copper Kα).
Kinematic intensities with the Lorentz-polarization factor, no thermal factor.

Peak list (6 most intense, 10° ≤ 2θ ≤ 90°, low angle first)
two_theta	intensity
13.54	52.8
14.10	66.3
20.24	63.5
26.30	48.8
26.68	100.0
29.05	63.0

```
26
Lattice="7.248 0.000 0.000 -0.708 8.327 0.000 -1.659 -3.069 13.084" Properties=species:S:1:pos:R:3 pbc="T T T"
Rb -0.433 3.174 2.288
Rb -0.140 -1.579 9.313
Rb 1.054 2.347 7.856
Rb 2.339 1.464 0.318
Rb 2.542 3.795 12.766
Rb 3.827 2.912 5.228
Rb 5.021 6.838 3.771
Rb 5.314 2.085 10.796
Sn 1.365 6.337 2.988
Sn 3.517 -1.079 10.096
S -0.067 6.472 1.062
S 0.413 5.277 5.525
S 3.004 0.384 3.221
S 1.838 0.537 11.090
S 3.043 4.722 1.994
S 1.877 4.875 9.863
S 4.468 -0.018 7.559
S 4.949 -1.213 12.022
O -0.693 4.280 5.198
O 0.589 0.927 10.150
O 1.771 1.404 3.080
O 1.681 4.569 5.951
O 3.200 0.690 7.133
O 3.111 3.855 10.004
O 4.293 4.332 2.934
O 5.574 0.978 7.886
```

***

Structure and theoretical XRD peak list of Rb2Sb4S7 (the PBE geometry in the Materials Project; copper Kα).
Kinematic intensities with the Lorentz-polarization factor, no thermal factor.

Peak list (6 most intense, 10° ≤ 2θ ≤ 90°, low angle first)
two_theta	intensity
12.37	38.6
23.58	48.8
24.43	100.0
25.31	63.5
33.89	43.3
34.56	36.0

```
26
Lattice="7.285 0.000 0.000 0.000 12.556 0.000 -6.894 0.000 8.712" Properties=species:S:1:pos:R:3 pbc="T T T"
Rb -1.372 0.759 3.036
Rb -4.819 5.519 7.392
Rb 5.210 7.037 1.321
Rb 1.763 11.797 5.677
Sb 2.001 1.938 0.534
Sb -1.446 4.340 4.890
Sb -1.555 8.001 5.661
Sb 1.893 10.833 1.305
Sb -1.501 1.723 7.408
Sb 1.946 4.555 3.052
Sb 1.837 8.216 3.822
Sb -1.610 10.618 8.178
S 0.000 0.000 0.000
S -3.447 6.278 4.356
S -3.214 2.920 5.795
S 0.233 3.357 1.439
S -3.311 8.821 7.156
S 0.136 10.012 2.800
S 1.282 6.687 1.918
S -2.165 12.147 6.274
S 2.557 0.409 2.438
S -0.890 5.869 6.794
S 0.255 2.543 5.912
S 3.702 3.735 1.556
S 0.159 9.198 7.273
S 3.606 9.635 2.917
```

***

Structure and theoretical XRD peak list of P2Pb3O8 (the PBE geometry in the Materials Project; copper Kα).
Kinematic intensities with the Lorentz-polarization factor, no thermal factor.

Peak list (6 most intense, 10° ≤ 2θ ≤ 90°, low angle first)
two_theta	intensity
24.87	46.5
27.83	100.0
29.02	46.2
31.57	29.6
32.04	79.1
42.27	35.0

```
26
Lattice="7.007 -2.976 0.000 7.007 2.976 0.000 -1.947 0.000 9.290" Properties=species:S:1:pos:R:3 pbc="T T T"
P 4.534 1.492 5.157
P 6.558 1.492 8.778
P 5.508 -1.492 0.512
P 7.531 -1.492 4.133
Pb 2.212 1.046 1.411
Pb 6.520 1.201 2.322
Pb 1.238 -1.046 6.056
Pb 10.828 1.046 3.234
Pb 5.546 -1.201 6.967
Pb 9.854 -1.046 7.879
O 4.264 1.674 3.622
O 1.086 0.205 3.407
O 0.113 -0.205 8.052
O 5.029 1.351 8.573
O 6.063 1.351 5.362
O 3.811 0.241 5.728
O 8.776 1.674 1.023
O 4.785 -0.241 1.083
O 7.281 0.241 8.207
O 3.290 -1.674 8.267
O 8.254 -0.241 3.562
O 6.002 -1.351 3.928
O 7.037 -1.351 0.717
O 11.953 0.205 1.238
O 10.979 -0.205 5.883
O 7.802 -1.674 5.668
```